No. 1
The following is a theoretical X-ray powder pattern of Li3MgAl12. It was derived from a cell relaxed with PBE, using copper Kα.
Neutral-atom scattering factors, no anomalous dispersion.

Principal peaks in the range 2θ = 10–90°, in order of falling intensity:
2θ/deg	I (rel.)	hkl
38.45	100.0	1 1 4
44.25	33.3	2 0 0
77.54	24.6	3 1 4
65.41	20.1	2 0 8
45.58	15.1	0 0 8
79.46	11.0	1 1 12
64.37	10.7	2 2 0
82.39	10.3	2 2 8
21.71	8.2	1 0 0
31.35	6.7	1 0 4

Crystal structure
```
data_Li3MgAl12
_chemical_formula_sum 'Li3 Mg1 Al12'
_symmetry_space_group_name_H-M 'P 4/m m m'
_symmetry_Int_Tables_number 123
_symmetry_space_group_name_Hall '-P 4 2'
_cell_length_a 4.094
_cell_length_b 4.094
_cell_length_c 15.921
_cell_angle_alpha 90.00
_cell_angle_beta 90.00
_cell_angle_gamma 90.00
loop_
_atom_site_label
_atom_site_fract_x
_atom_site_fract_y
_atom_site_fract_z
_atom_site_occupancy
Li1 0.000 0.000 0.000 1
Li2 0.000 0.000 0.247 1
Mg1 0.000 0.000 0.500 1
Al1 0.000 0.500 0.123 1
Al2 0.000 0.500 0.370 1
Al3 0.500 0.500 0.000 1
Al4 0.500 0.500 0.248 1
Al5 0.500 0.500 0.500 1
```

No. 2
The following is a theoretical X-ray powder pattern of U4Ge2H. It was derived from a cell relaxed with PBE, using copper Kα.
Neutral-atom scattering factors, no anomalous dispersion.

Principal peaks in the range 2θ = 10–90°, in order of falling intensity:
2θ/deg	I (rel.)	hkl
32.04	100.0	1 1 2
38.26	92.6	1 1 4
42.52	54.2	2 0 0
56.67	42.1	2 0 6
35.66	38.8	0 0 6
27.45	30.1	1 0 3
74.97	27.6	3 1 4
11.72	23.5	0 0 2
71.23	21.7	3 1 2
73.35	20.4	2 2 6

Crystal structure
```
data_U4Ge2H
_chemical_formula_sum 'U8 Ge4 H2'
_symmetry_space_group_name_H-M 'I 4/m m m'
_symmetry_Int_Tables_number 139
_symmetry_space_group_name_Hall '-I 4 2'
_cell_length_a 4.252
_cell_length_b 4.252
_cell_length_c 15.106
_cell_angle_alpha 90.00
_cell_angle_beta 90.00
_cell_angle_gamma 90.00
loop_
_atom_site_label
_atom_site_fract_x
_atom_site_fract_y
_atom_site_fract_z
_atom_site_occupancy
U1 0.000 0.000 0.164 1
U2 0.000 0.500 0.000 1
Ge1 0.000 0.000 0.358 1
H1 0.000 0.000 0.000 1
```

No. 3
The following is a theoretical X-ray powder pattern of Zr3CdBi. It was derived from a cell relaxed with PBE, using copper Kα.
Neutral-atom scattering factors, no anomalous dispersion.

Principal peaks in the range 2θ = 10–90°, in order of falling intensity:
2θ/deg	I (rel.)	hkl
34.19	100.0	2 2 -3
38.06	19.5	2 0 2
39.09	16.4	0 4 0
41.81	13.4	6 0 -4
55.70	11.3	2 4 2
67.70	10.7	2 6 -3
58.57	9.2	6 4 -4
66.36	7.1	0 2 5
66.24	6.7	6 2 1
57.73	5.5	8 0 -2

Crystal structure
```
data_Zr3CdBi
_chemical_formula_sum 'Zr24 Cd8 Bi8'
_symmetry_space_group_name_H-M 'C 1 2/c 1'
_symmetry_Int_Tables_number 15
_cell_length_a 13.810
_cell_length_b 9.218
_cell_length_c 9.840
_cell_angle_alpha 90.00
_cell_angle_beta 131.25
_cell_angle_gamma 90.00
loop_
_symmetry_equiv_pos_as_xyz
'x,y,z'
'-x,-y,-z'
'-x,y,-z+1/2'
'x,-y,z+1/2'
'x+1/2,y+1/2,z'
'-x+1/2,-y+1/2,-z'
'-x+1/2,y+1/2,-z+1/2'
'x+1/2,-y+1/2,z+1/2'
loop_
_atom_site_label
_atom_site_fract_x
_atom_site_fract_y
_atom_site_fract_z
_atom_site_occupancy
Zr1 0.094 0.113 0.143 1
Zr2 0.107 0.359 0.659 1
Zr3 0.213 0.120 0.553 1
Cd1 0.000 0.111 0.750 1
Cd2 0.000 0.351 0.250 1
Bi1 0.190 0.386 0.057 1
```

- Which formula does entry 1 have?
  Li3MgAl12